Calculated X-ray diffraction stick pattern of Y12Ni5Hg for Cu Kα, 1.54184 Å, from a GGA-PBE-relaxed structure.
Lines closer than 0.1° are merged.

Structure:
Cell: 8.3330 8.3330 8.3330 Å, 111.24 109.86 107.34°
Sites, in units of the cell vectors:
Y (0.0304, 0.2196, 0.8108)
Y (0.1812, 0.2892, 0.4704)
Y (0.1812, 0.7108, 0.8919)
Y (0.3243, 0.0198, 0.6955)
Y (0.3243, 0.6288, 0.3045)
Y (0.4088, 0.2196, 0.1892)
Y (0.5912, 0.7804, 0.8108)
Y (0.6757, 0.3712, 0.6955)
Y (0.6757, 0.9802, 0.3045)
Y (0.8188, 0.2892, 0.1081)
Y (0.8188, 0.7108, 0.5296)
Y (0.9696, 0.7804, 0.1892)
Ni (0.0000, 0.0000, 0.0000)
Ni (0.1217, 0.6217, 0.5000)
Ni (0.3608, 0.0000, 0.3608)
Ni (0.6392, 0.0000, 0.6392)
Ni (0.8783, 0.3783, 0.5000)
Hg (0.5000, 0.5000, 0.0000)

Principal peaks in the range 10 to 80 degrees two-theta, by intensity:
Position (°2θ), Rel. int.
32.25, 100
34.80, 76
34.55, 69
35.40, 37
60.06, 32
29.97, 30
38.26, 28
56.29, 23
29.41, 21
35.17, 21